Starting from a PBE-relaxed structure, the XRD peak list of CdSnTeO was calculated for λ = 1.5418 Å (Cu Kα).
Kinematic intensities with the Lorentz-polarization factor, no thermal factor.

Largest 10 diffraction maxima, low angle first, 2θ from 10° to 90°:
2θ/deg	intensity
22.71	462
24.38	852
26.67	874
28.12	407
29.87	1000
32.03	397
32.54	754
36.20	419
40.91	432
43.36	697

Atomic structure:
```
data_CdSnTeO
_cell_length_a 7.829
_cell_length_b 8.254
_cell_length_c 6.418
_cell_angle_alpha 90.00
_cell_angle_beta 90.00
_cell_angle_gamma 90.00
_symmetry_space_group_name_H-M 'P 1'
_symmetry_Int_Tables_number 1
loop_
_symmetry_equiv_pos_as_xyz
'x,y,z'
loop_
_atom_site_label
_atom_site_fract_x
_atom_site_fract_y
_atom_site_fract_z
Cd1 0.099 0.154 0.000
Cd2 0.401 0.154 0.500
Cd3 0.599 0.846 0.000
Cd4 0.901 0.846 0.500
Sn1 0.140 0.558 0.834
Sn2 0.360 0.558 0.334
Sn3 0.640 0.442 0.834
Sn4 0.860 0.442 0.334
Te1 0.038 0.158 0.554
Te2 0.462 0.158 0.054
Te3 0.538 0.842 0.554
Te4 0.962 0.842 0.054
O1 0.020 0.407 0.065
O2 0.480 0.407 0.565
O3 0.520 0.593 0.065
O4 0.980 0.593 0.565
```